Entry 1:
For CsReO4, a cell relaxed with PBE gives the simulated powder XRD pattern in this record (Cu Kα (λ = 1.5418 Å)).

Crystal structure
Cell lengths 6.0644, 6.0644, 15.0374 Å; angles 90.00, 90.00, 90.00 degrees
Space group I4_1/amd (No. 141, origin choice 2)
Symmetry-distinct sites (fractional):
Cs 0.0000 0.2500 0.3750 x4
Re 0.0000 0.2500 0.8750 x4
O 0.0000 0.0123 0.8083 x16

Peak list (8 most intense, 10 to 90 degrees two-theta, by angle)
two_theta  I_rel
23.7  24
23.9  100
29.5  29
38.1  29
41.7  22
48.9  15
49.0  28
60.8  15

---

Entry 2:
For Nb6InTe8, a cell relaxed with PBE gives the simulated powder XRD pattern in this record (Cu Kα (λ = 1.5418 Å)).

Crystal structure
Cell lengths 10.8193, 10.8193, 3.6644 Å; angles 90.00, 90.00, 120.00 degrees
Space group P-6 (No. 174)
Symmetry-distinct sites (fractional):
Nb 0.0553 0.2319 0.0000 x3
Nb 0.1545 0.7191 0.5000 x3
In 0.6667 0.3333 0.5000 x1
Te 0.0000 0.0000 0.5000 x1
Te 0.0052 0.3967 0.5000 x3
Te 0.3322 0.2699 0.0000 x3
Te 0.3333 0.6667 0.0000 x1

Peak list (8 most intense, 10 to 90 degrees two-theta, by angle)
two_theta  I_rel
28.6  52
29.4  26
31.0  64
34.5  73
35.2  100
41.5  37
49.1  27
75.6  34

---

Entry 3:
For LuSnPt, a cell relaxed with PBE gives the simulated powder XRD pattern in this record (Cu Kα (λ = 1.5418 Å)).

Crystal structure
Cell lengths 7.4902, 7.4902, 3.9317 Å; angles 90.00, 90.00, 120.00 degrees
Space group P-62m (No. 189)
Symmetry-distinct sites (fractional):
Lu 0.0000 0.4014 0.0000 x3
Sn 0.0000 0.7380 0.5000 x3
Pt 0.0000 0.0000 0.0000 x1
Pt 0.3333 0.6667 0.5000 x2

Peak list (8 most intense, 10 to 90 degrees two-theta, by angle)
two_theta  I_rel
33.0  94
35.9  100
36.7  34
41.8  56
43.5  39
46.2  28
64.0  32
67.3  37

---

Entry 4:
For Sr11Sb10, a cell relaxed with PBE gives the simulated powder XRD pattern in this record (Cu Kα (λ = 1.5418 Å)).

Crystal structure
Cell lengths 12.5673, 12.5673, 18.4867 Å; angles 90.00, 90.00, 90.00 degrees
Space group I4/mmm (No. 139)
Symmetry-distinct sites (fractional):
Sr 0.0000 0.0000 0.1553 x4
Sr 0.0000 0.2503 0.3103 x16
Sr 0.0000 0.3347 0.1049 x16
Sr 0.1691 0.1691 0.5000 x8
Sb 0.0000 0.0000 0.3781 x4
Sb 0.0000 0.3537 0.5000 x8
Sb 0.0000 0.5000 0.2500 x4
Sb 0.1212 0.1212 0.0000 x8
Sb 0.2097 0.2097 0.1794 x16

Peak list (8 most intense, 10 to 90 degrees two-theta, by angle)
two_theta  I_rel
28.9  96
29.4  100
29.7  69
30.0  77
30.2  74
32.3  91
38.7  45
43.1  37

---

Entry 5:
For Tm15S22, a cell relaxed with PBE gives the simulated powder XRD pattern in this record (Cu Kα (λ = 1.5418 Å)).

Crystal structure
Cell lengths 38.5524, 3.8509, 11.1978 Å; angles 90.00, 90.92, 90.00 degrees
Space group C2/m (No. 12)
Symmetry-distinct sites (fractional):
Tm 0.0000 0.0000 0.0000 x2
Tm 0.0395 0.5000 0.7275 x4
Tm 0.0690 0.0000 0.3572 x4
Tm 0.1049 0.0000 0.0106 x4
Tm 0.1333 0.5000 0.6575 x4
Tm 0.1571 0.5000 0.3056 x4
Tm 0.2012 0.0000 0.9432 x4
Tm 0.2345 0.5000 0.6470 x4
S 0.0072 0.0000 0.2385 x4
S 0.0489 0.5000 0.9685 x4
S 0.0527 0.5000 0.5021 x4
S 0.0901 0.0000 0.7518 x4
S 0.0930 0.5000 0.2063 x4
S 0.1338 0.0000 0.4615 x4
S 0.1470 0.5000 0.9074 x4
S 0.1667 0.0000 0.1494 x4
S 0.1862 0.0000 0.6925 x4
S 0.2202 0.5000 0.4080 x4
S 0.2449 0.5000 0.8796 x4

Peak list (8 most intense, 10 to 90 degrees two-theta, by angle)
two_theta  I_rel
23.8  63
24.5  100
27.0  37
27.9  38
28.2  47
32.2  47
34.6  45
42.7  36

---

What did the second record say?
For Nb6InTe8, a cell relaxed with PBE gives the simulated powder XRD pattern in this record (Cu Kα (λ = 1.5418 Å)).

Crystal structure
Cell lengths 10.8193, 10.8193, 3.6644 Å; angles 90.00, 90.00, 120.00 degrees
Space group P-6 (No. 174)
Symmetry-distinct sites (fractional):
Nb 0.0553 0.2319 0.0000 x3
Nb 0.1545 0.7191 0.5000 x3
In 0.6667 0.3333 0.5000 x1
Te 0.0000 0.0000 0.5000 x1
Te 0.0052 0.3967 0.5000 x3
Te 0.3322 0.2699 0.0000 x3
Te 0.3333 0.6667 0.0000 x1

Peak list (8 most intense, 10 to 90 degrees two-theta, by angle)
two_theta  I_rel
28.6  52
29.4  26
31.0  64
34.5  73
35.2  100
41.5  37
49.1  27
75.6  34